Record 1
Theoretical X-ray diffraction stick pattern of Al3Ag5 for CuKα, from the GGA-PBE geometry in Alexandria.
Intensities are scaled so that the largest is 100.

Crystal structure
```
data_Al3Ag5
_chemical_formula_sum 'Al6 Ag10'
_cell_length_a 4.654
_cell_length_b 4.940
_cell_length_c 12.018
_cell_angle_alpha 90.00
_cell_angle_beta 90.00
_cell_angle_gamma 90.00
_symmetry_space_group_name_H-M 'I m m m'
_symmetry_Int_Tables_number 71
_symmetry_space_group_name_Hall '-I 2 2'
loop_
_atom_site_label
_atom_site_type_symbol
_atom_site_fract_x
_atom_site_fract_y
_atom_site_fract_z
Al1 Al 0.000 0.000 0.000
Al2 Al 0.000 0.500 0.128
Ag1 Ag 0.000 0.000 0.251
Ag2 Ag 0.000 0.000 0.500
Ag3 Ag 0.000 0.500 0.379
```

Principal peaks in the range 10° ≤ 2θ ≤ 90°, most intense first:
40.12 deg, 2.248 Å, I 100, hkl 1 1 4; 36.38 deg, 2.470 Å, I 33, hkl 0 2 0; 20.46 deg, 4.340 Å, I 31, hkl 1 0 1; 38.69 deg, 2.327 Å, I 28, hkl 2 0 0; 54.15 deg, 1.694 Å, I 20, hkl 2 2 0; 67.97 deg, 1.379 Å, I 20, hkl 1 3 4


Record 2
Theoretical X-ray diffraction stick pattern of CePm4Se5 for CuKα, from the GGA-PBE geometry in Alexandria.
Intensities are scaled so that the largest is 100.

Crystal structure
```
data_CePm4Se5
_chemical_formula_sum 'Ce3 Pm12 Se15'
_cell_length_a 4.1929
_cell_length_b 4.1929
_cell_length_c 51.5176
_cell_angle_alpha 90.00
_cell_angle_beta 90.00
_cell_angle_gamma 120.00
_symmetry_space_group_name_H-M 'R -3 m'
_symmetry_Int_Tables_number 166
_symmetry_space_group_name_Hall '-R 3 2"'
loop_
_atom_site_label
_atom_site_type_symbol
_atom_site_fract_x
_atom_site_fract_y
_atom_site_fract_z
Ce1 Ce 0.0000 0.0000 0.0000
Pm1 Pm 0.0000 0.0000 0.1996
Pm2 Pm 0.0000 0.0000 0.3997
Se1 Se 0.0000 0.0000 0.1002
Se2 Se 0.0000 0.0000 0.2998
Se3 Se 0.0000 0.0000 0.5000
```

Principal peaks in the range 10° ≤ 2θ ≤ 90°, most intense first:
30.11 deg, 2.968 Å, I 100, hkl 1 0 10; 43.10 deg, 2.099 Å, I 75, hkl 1 1 0; 53.51 deg, 1.712 Å, I 20, hkl 0 2 10; 79.08 deg, 1.211 Å, I 19, hkl 3 0 0; 70.94 deg, 1.328 Å, I 17, hkl 1 1 30; 71.08 deg, 1.326 Å, I 17, hkl 2 1 10